Simulated X-ray diffraction stick pattern of Er4GeBi2As for CuKα, from a GGA-PBE-relaxed structure.
Peak positions follow from Bragg's law for the DFT cell and can differ from measured ones.

Unit cell a=7.284 b=4.185 c=7.615 alpha=90.00 beta=108.52 gamma=90.00
Space group P2/m (No. 10)
Inequivalent atoms, fractional coordinates:
Er 0.239 0.000 0.220 (multiplicity 2)
Er 0.258 0.500 0.780 (multiplicity 2)
Ge 0.000 0.500 0.000 (multiplicity 1)
Bi 0.000 0.000 0.500 (multiplicity 1)
Bi 0.500 0.500 0.500 (multiplicity 1)
As 0.500 0.000 0.000 (multiplicity 1)

Most intense lines, 5° ≤ 2θ ≤ 70°, by angle:
2θ 24.8, intensity 9
2θ 29.6, intensity 100
2θ 32.2, intensity 8
2θ 41.6, intensity 36
2θ 43.1, intensity 25
2θ 43.2, intensity 12
2θ 53.0, intensity 7
2θ 53.3, intensity 13
2θ 61.5, intensity 8
2θ 68.6, intensity 10